Cs2Cu3SnF12: simulated powder diffraction line list (CuKα), based on DFT lattice parameters and positions (PBE).
Kinematic intensities with the Lorentz-polarization factor, no thermal factor.

Principal peaks in the range 5 to 70 degrees two-theta, by angle:
| 2θ/deg | intensity |
| --- | --- |
| 24.84 | 30 |
| 25.22 | 100 |
| 27.83 | 47 |
| 27.98 | 23 |
| 30.09 | 26 |
| 44.71 | 27 |
| 50.94 | 22 |
| 51.76 | 25 |

Crystal structure
```
data_Cs2Cu3SnF12
_chemical_formula_sum 'Cs4 Cu6 Sn2 F24'
_cell_length_a 8.2858
_cell_length_b 7.1240
_cell_length_c 12.4482
_cell_angle_alpha 90.00
_cell_angle_beta 120.18
_cell_angle_gamma 90.00
_symmetry_space_group_name_H-M 'P 1 21/c 1'
_symmetry_Int_Tables_number 14
loop_
_symmetry_equiv_pos_as_xyz
'x,y,z'
'-x,-y,-z'
'-x,y+1/2,-z+1/2'
'x,-y+1/2,z+1/2'
loop_
_atom_site_label
_atom_site_type_symbol
_atom_site_fract_x
_atom_site_fract_y
_atom_site_fract_z
Cs1 Cs 0.1791 0.0047 0.3924
Cu1 Cu 0.4914 0.2367 0.7439
Cu2 Cu 0.5000 0.0000 0.0000
Sn1 Sn 0.0000 0.0000 0.0000
F1 F 0.1494 0.2250 0.0964
F2 F 0.1582 0.6721 0.6428
F3 F 0.1621 0.5409 0.4246
F4 F 0.4368 0.1807 0.8722
F5 F 0.4496 0.5167 0.1851
F6 F 0.4755 0.7052 0.3935
```